Entry 1:
Simulated powder XRD pattern
Compound: RbTiH2F8
Radiation: CuKα
Structure: a cell relaxed with PBE

Crystal structure
a b c (Å): 4.8112 4.8272 8.4145
angles (deg): 78.96 78.66 63.95
Atoms (fractional coordinates):
Rb: 0.0000 0.0000 0.0000
Ti: 0.0000 0.0000 0.5000
H: 0.4621 0.4634 0.6708
H: 0.5379 0.5366 0.3292
F: 0.2188 0.2193 0.5031
F: 0.2330 0.6887 0.6688
F: 0.3154 0.7657 0.3306
F: 0.3731 0.3751 0.0473
F: 0.6269 0.6249 0.9527
F: 0.6846 0.2343 0.6694
F: 0.7670 0.3113 0.3312
F: 0.7812 0.7807 0.4969

Main lines, sorted by position (5° ≤ 2θ ≤ 70°):
d (Å), I (rel.)
4.296, 78
4.096, 99
3.980, 100
3.166, 42
2.171, 37
2.161, 36


Entry 2:
Simulated powder XRD pattern
Compound: HRhF
Radiation: CuKα
Structure: a cell relaxed with PBE

Crystal structure
a b c (Å): 2.8700 4.7877 5.4789
angles (deg): 71.33 89.91 85.14
Atoms (fractional coordinates):
H: 0.2148 0.2145 0.3680
H: 0.7852 0.7855 0.6320
Rh: 0.2481 0.0133 0.6939
Rh: 0.7519 0.9867 0.3061
F: 0.2835 0.7646 0.1219
F: 0.7165 0.2354 0.8781

Main lines, sorted by position (5° ≤ 2θ ≤ 70°):
d (Å), I (rel.)
4.518, 100
2.594, 13
2.533, 15
2.418, 21
2.287, 20
1.989, 14


Entry 3:
Simulated powder XRD pattern
Compound: SrH2RhF8
Radiation: CuKα
Structure: a cell relaxed with PBE

Crystal structure
a b c (Å): 5.1423 5.1480 7.0685
angles (deg): 82.72 82.58 66.15
Atoms (fractional coordinates):
Sr: 0.0000 0.0000 0.0000
H: 0.2720 0.2682 0.2333
H: 0.7280 0.7318 0.7667
Rh: 0.0000 0.0000 0.5000
F: 0.2212 0.7560 0.2965
F: 0.2295 0.2253 0.4284
F: 0.2423 0.7763 0.7030
F: 0.2849 0.2806 0.0866
F: 0.7151 0.7194 0.9134
F: 0.7577 0.2237 0.2970
F: 0.7705 0.7747 0.5716
F: 0.7788 0.2440 0.7035

Main lines, sorted by position (5° ≤ 2θ ≤ 70°):
d (Å), I (rel.)
4.689, 100
4.261, 38
3.493, 17
2.695, 22
2.535, 22
2.189, 29


Entry 4:
Simulated powder XRD pattern
Compound: H6RuF12
Radiation: CuKα
Structure: a cell relaxed with PBE

Crystal structure
a b c (Å): 6.4683 6.4683 6.4683
angles (deg): 104.42 104.42 104.42
Atoms (fractional coordinates):
H: 0.2703 0.5761 0.6510
H: 0.3490 0.7297 0.4239
H: 0.4239 0.3490 0.7297
H: 0.5761 0.6510 0.2703
H: 0.6510 0.2703 0.5761
H: 0.7297 0.4239 0.3490
Ru: 0.0000 0.0000 0.0000
F: 0.0204 0.3028 0.0856
F: 0.0856 0.0204 0.3028
F: 0.2364 0.6861 0.5717
F: 0.3028 0.0856 0.0204
F: 0.3139 0.4283 0.7636
F: 0.4283 0.7636 0.3139
F: 0.5717 0.2364 0.6861
F: 0.6861 0.5717 0.2364
F: 0.6972 0.9144 0.9796
F: 0.7636 0.3139 0.4283
F: 0.9144 0.9796 0.6972
F: 0.9796 0.6972 0.9144

Main lines, sorted by position (5° ≤ 2θ ≤ 70°):
d (Å), I (rel.)
5.910, 100
5.112, 74
3.866, 60
3.621, 51
3.084, 77
2.088, 47


Entry 5:
Simulated powder XRD pattern
Compound: HRuF5
Radiation: CuKα
Structure: a cell relaxed with PBE

Crystal structure
a b c (Å): 5.6838 5.6838 7.3678
angles (deg): 112.42 112.42 65.50
Atoms (fractional coordinates):
H: 0.1875 0.8125 0.7500
H: 0.8125 0.1875 0.2500
Ru: 0.5000 0.5000 0.0000
Ru: 0.5000 0.5000 0.5000
F: 0.1646 0.7662 0.5788
F: 0.2338 0.8354 0.9212
F: 0.2412 0.3257 0.8572
F: 0.3257 0.2412 0.3572
F: 0.3652 0.6348 0.2500
F: 0.6348 0.3652 0.7500
F: 0.6743 0.7588 0.6428
F: 0.7588 0.6743 0.1428
F: 0.7662 0.1646 0.0788
F: 0.8354 0.2338 0.4212

Main lines, sorted by position (5° ≤ 2θ ≤ 70°):
d (Å), I (rel.)
4.986, 100
4.261, 43
3.471, 20
3.153, 38
2.301, 16
1.750, 15


Entry 6:
Simulated powder XRD pattern
Compound: HS5F
Radiation: CuKα
Structure: a cell relaxed with PBE

Crystal structure
a b c (Å): 5.0242 6.2297 6.7188
angles (deg): 81.54 75.17 75.31
Atoms (fractional coordinates):
H: 0.0000 0.0000 0.0000
S: 0.1472 0.7902 0.0412
S: 0.1685 0.4375 0.6464
S: 0.2645 0.2763 0.4127
S: 0.8313 0.6976 0.2839
S: 0.8691 0.7754 0.5481
F: 0.9058 0.3395 0.8265

Main lines, sorted by position (5° ≤ 2θ ≤ 70°):
d (Å), I (rel.)
6.003, 60
4.731, 100
4.208, 93
4.050, 95
3.134, 89
3.003, 58